Diffraction record for La5Sc4Hg4. The XRD peak list is computed, not measured: it uses DFT lattice parameters and positions (GGA-PBE) and Cu Kα (weighted mean of Kα1 and Kα2).
Neutral-atom scattering factors, no anomalous dispersion.

Main lines, in order of falling intensity (15° ≤ 2θ ≤ 90°):
| d/Å | Rel. int. |
| --- | --- |
| 2.820 | 100 |
| 2.566 | 89 |
| 3.168 | 67 |
| 3.689 | 58 |
| 2.766 | 52 |
| 2.475 | 50 |
| 1.844 | 32 |
| 2.121 | 29 |
| 1.611 | 25 |
| 1.607 | 24 |

abc: 9.090 9.090 9.090
angles: 94.25 94.25 148.40
Fractional coordinates of all 13 atoms:
La: 0.000 0.000 0.000
La: 0.306 0.627 0.932
La: 0.373 0.306 0.679
La: 0.627 0.694 0.321
La: 0.694 0.373 0.068
Sc: 0.096 0.419 0.515
Sc: 0.419 0.904 0.323
Sc: 0.581 0.096 0.677
Sc: 0.904 0.581 0.485
Hg: 0.071 0.743 0.814
Hg: 0.257 0.071 0.328
Hg: 0.743 0.929 0.672
Hg: 0.929 0.257 0.186

***

Diffraction record for AlZnH10O7F5. The XRD peak list is computed, not measured: it uses DFT lattice parameters and positions (GGA-PBE) and Cu Kα (weighted mean of Kα1 and Kα2).
Neutral-atom scattering factors, no anomalous dispersion.

Main lines, in order of falling intensity (15° ≤ 2θ ≤ 90°):
| d/Å | Rel. int. |
| --- | --- |
| 4.678 | 100 |
| 4.577 | 70 |
| 4.536 | 57 |
| 4.156 | 47 |
| 2.915 | 40 |
| 3.768 | 40 |
| 2.610 | 22 |
| 2.393 | 20 |
| 2.701 | 19 |
| 1.828 | 18 |

abc: 6.355 8.643 9.462
angles: 103.61 97.62 96.19
Fractional coordinates of all 48 atoms:
Al: 0.000 0.000 0.000
Al: 0.000 0.500 0.500
Zn: 0.500 0.000 0.500
Zn: 0.500 0.500 0.000
H: 0.092 0.359 0.941
H: 0.104 0.452 0.817
H: 0.165 0.764 0.369
H: 0.188 0.886 0.269
H: 0.305 0.509 0.256
H: 0.306 0.239 0.436
H: 0.332 0.777 0.042
H: 0.438 0.726 0.575
H: 0.440 0.195 0.010
H: 0.457 0.536 0.717
H: 0.543 0.464 0.283
H: 0.560 0.805 0.990
H: 0.562 0.274 0.425
H: 0.668 0.223 0.958
H: 0.694 0.761 0.564
H: 0.695 0.491 0.744
H: 0.812 0.114 0.731
H: 0.835 0.236 0.631
H: 0.896 0.548 0.183
H: 0.908 0.641 0.059
O: 0.144 0.905 0.796
O: 0.171 0.452 0.918
O: 0.210 0.992 0.720
O: 0.214 0.879 0.372
O: 0.431 0.486 0.209
O: 0.445 0.191 0.433
O: 0.478 0.750 0.051
O: 0.522 0.250 0.949
O: 0.555 0.809 0.567
O: 0.569 0.514 0.791
O: 0.786 0.121 0.628
O: 0.790 0.008 0.280
O: 0.829 0.548 0.082
O: 0.856 0.095 0.204
F: 0.067 0.833 0.068
F: 0.078 0.570 0.338
F: 0.104 0.314 0.439
F: 0.253 0.102 0.081
F: 0.266 0.594 0.607
F: 0.734 0.406 0.393
F: 0.747 0.898 0.919
F: 0.896 0.686 0.561
F: 0.922 0.430 0.662
F: 0.933 0.167 0.932

***

Diffraction record for Ac3Pu. The XRD peak list is computed, not measured: it uses DFT lattice parameters and positions (GGA-PBE) and Cu Kα (weighted mean of Kα1 and Kα2).
Neutral-atom scattering factors, no anomalous dispersion.

Main lines, in order of falling intensity (15° ≤ 2θ ≤ 90°):
| d/Å | Rel. int. |
| --- | --- |
| 2.970 | 100 |
| 2.959 | 49 |
| 3.124 | 38 |
| 1.772 | 35 |
| 2.291 | 25 |
| 1.650 | 24 |
| 3.376 | 23 |
| 1.943 | 20 |
| 1.629 | 18 |
| 1.655 | 12 |

abc: 3.904 6.248 6.720
angles: 90.00 90.00 90.00
Fractional coordinates of all 4 atoms:
Ac: 0.000 0.000 0.000
Ac: 0.000 0.500 0.343
Ac: 0.500 0.500 0.830
Pu: 0.500 0.000 0.505